[1]
Pu12SnGe6: simulated powder XRD pattern (Cu Kα), based on DFT lattice parameters and positions (GGA-PBE).

Top 10 peaks for 2θ from 10° to 90°, in order of rising 2θ:
- hkl 2 2 0, d 3.478, 25.61°, I 19.5
- hkl 3 1 0, d 3.111, 28.69°, I 27.3
- hkl 2 2 2, d 2.840, 31.50°, I 87.3
- hkl 3 1 2, d 2.629, 34.10°, I 100.0
- hkl 4 0 0, d 2.460, 36.53°, I 42.8
- hkl 3 3 0, d 2.319, 38.84°, I 16.9
- hkl 4 2 0, d 2.200, 41.03°, I 20.0
- hkl 5 3 0, d 1.687, 54.38°, I 35.1
- hkl 5 2 3, d 1.596, 57.77°, I 36.5
- hkl 5 3 4, d 1.391, 67.30°, I 24.4

Structural model:
Lattice parameters (Å, degrees): 9.838 9.838 9.838 90.00 90.00 90.00
Space group Im-3 (No. 204)
Asymmetric unit:
Pu1 0.000 0.274 0.194 (multiplicity 24)
Sn1 0.000 0.000 0.000 (multiplicity 2)
Ge1 0.000 0.124 0.500 (multiplicity 12)



[2]
CsNaPr2I8: simulated powder XRD pattern (Cu Kα), based on DFT lattice parameters and positions (GGA-PBE).

Top 10 peaks for 2θ from 10° to 90°, in order of rising 2θ:
- hkl 0 1 1, d 5.750, 15.41°, I 26.7
- hkl 1 1 0, d 4.137, 21.48°, I 24.6
- hkl 1 1 1, d 3.802, 23.40°, I 91.7
- hkl 2 0 1, d 3.358, 26.54°, I 55.8
- hkl 0 0 3, d 3.212, 27.77°, I 24.7
- hkl 2 -1 2, d 3.139, 28.44°, I 100.0
- hkl 0 1 3, d 2.931, 30.50°, I 29.2
- hkl 3 -2 1, d 2.607, 34.39°, I 33.1
- hkl 3 0 0, d 2.390, 37.64°, I 85.9
- hkl 1 2 3, d 2.070, 43.72°, I 50.1

Structural model:
Lattice parameters (Å, degrees): 8.2747 8.2747 9.6361 90.00 90.00 120.00
Space group P-3 (No. 147)
Asymmetric unit:
Cs1 0.0000 0.0000 0.0000 (multiplicity 1)
Na1 0.0000 0.0000 0.5000 (multiplicity 1)
Pr1 0.3333 0.6667 0.4074 (multiplicity 2)
I1 0.0650 0.3700 0.6554 (multiplicity 6)
I2 0.3333 0.6667 0.0900 (multiplicity 2)



[3]
Tl7Cd4In: simulated powder XRD pattern (Cu Kα), based on DFT lattice parameters and positions (GGA-PBE).

Top 10 peaks for 2θ from 10° to 90°, in order of rising 2θ:
- hkl 0 1 3, d 3.207, 27.81°, I 10.6
- hkl 1 1 0, d 2.764, 32.40°, I 100.0
- hkl 1 0 4, d 2.684, 33.39°, I 87.5
- hkl 0 2 4, d 1.925, 47.21°, I 33.4
- hkl 3 0 0, d 1.596, 57.78°, I 19.3
- hkl 2 1 4, d 1.580, 58.42°, I 35.4
- hkl 0 1 8, d 1.535, 60.30°, I 10.7
- hkl 2 2 0, d 1.382, 67.82°, I 11.9
- hkl 1 3 4, d 1.229, 77.73°, I 15.5
- hkl 1 2 8, d 1.207, 79.39°, I 9.8

Structural model:
Lattice parameters (Å, degrees): 5.5273 5.5273 12.9630 90.00 90.00 120.00
Space group P-3m1 (No. 164)
Asymmetric unit:
Tl1 0.0000 0.0000 0.0000 (multiplicity 1)
Tl2 0.0000 0.0000 0.2565 (multiplicity 2)
Tl3 0.3333 0.6667 0.1418 (multiplicity 2)
Tl4 0.3333 0.6667 0.4121 (multiplicity 2)
Cd1 0.3333 0.6667 0.6623 (multiplicity 2)
Cd2 0.3333 0.6667 0.8943 (multiplicity 2)
In1 0.0000 0.0000 0.5000 (multiplicity 1)



[4]
Re3W5: simulated powder XRD pattern (Cu Kα), based on DFT lattice parameters and positions (GGA-PBE).

Top 10 peaks for 2θ from 10° to 90°, in order of rising 2θ:
- hkl 0 2 2, d 2.544, 35.28°, I 53.4
- hkl 2 1 1, d 2.494, 36.01°, I 33.5
- hkl 0 3 -1, d 2.275, 39.61°, I 84.5
- hkl -1 2 1, d 2.239, 40.29°, I 100.0
- hkl 1 2 -2, d 2.219, 40.67°, I 51.3
- hkl 2 2 2, d 2.213, 40.76°, I 26.4
- hkl 1 3 -1, d 2.206, 40.91°, I 52.4
- hkl 1 3 2, d 2.186, 41.29°, I 52.6
- hkl 2 1 -1, d 2.070, 43.72°, I 43.5
- hkl 2 3 1, d 2.030, 44.64°, I 29.5

Structural model:
Lattice parameters (Å, degrees): 4.991 7.566 7.567 84.52 71.97 71.95
Space group P1 (No. 1)
Asymmetric unit:
Re1 0.000 0.000 0.000 (multiplicity 1)
Re2 0.081 0.866 0.500 (multiplicity 1)
Re3 0.164 0.364 0.364 (multiplicity 1)
Re4 0.499 0.362 0.638 (multiplicity 1)
Re5 0.582 0.864 0.501 (multiplicity 1)
Re6 0.664 0.726 0.003 (multiplicity 1)
W1 0.080 0.694 0.204 (multiplicity 1)
W2 0.082 0.365 0.000 (multiplicity 1)
W3 0.083 0.162 0.671 (multiplicity 1)
W4 0.272 0.695 0.798 (multiplicity 1)
W5 0.392 0.032 0.203 (multiplicity 1)
W6 0.579 0.567 0.334 (multiplicity 1)
W7 0.582 0.363 0.002 (multiplicity 1)
W8 0.584 0.031 0.799 (multiplicity 1)
W9 0.772 0.162 0.331 (multiplicity 1)
W10 0.891 0.567 0.669 (multiplicity 1)



[5]
ThTe2: simulated powder XRD pattern (Cu Kα), based on DFT lattice parameters and positions (GGA-PBE).

Top 10 peaks for 2θ from 10° to 90°, in order of rising 2θ:
- hkl 1 1 -1, d 4.634, 19.15°, I 100.0
- hkl 2 1 0, d 3.283, 27.17°, I 45.1
- hkl 1 2 -1, d 3.245, 27.48°, I 77.7
- hkl 2 1 -1, d 3.198, 27.90°, I 76.1
- hkl 1 1 2, d 2.913, 30.69°, I 60.2
- hkl 0 2 2, d 2.726, 32.86°, I 57.4
- hkl 1 2 -2, d 2.661, 33.68°, I 91.4
- hkl 1 3 0, d 2.467, 36.42°, I 63.6
- hkl 2 0 2, d 2.415, 37.23°, I 56.5
- hkl 0 1 3, d 2.398, 37.50°, I 53.0

Structural model:
Lattice parameters (Å, degrees): 7.331 7.874 7.667 90.00 99.81 90.00
Space group P2_1/c (No. 14)
Asymmetric unit:
Th1 0.207 0.059 0.306 (multiplicity 4)
Te1 0.086 0.729 0.507 (multiplicity 4)
Te2 0.417 0.127 0.698 (multiplicity 4)



[6]
RbGaCoCl6: simulated powder XRD pattern (Cu Kα), based on DFT lattice parameters and positions (GGA-PBE).

Top 10 peaks for 2θ from 10° to 90°, in order of rising 2θ:
- hkl 0 0 1, d 7.416, 11.93°, I 58.9
- hkl 0 2 1, d 4.418, 20.10°, I 100.0
- hkl 1 1 1, d 4.399, 20.19°, I 49.7
- hkl 2 0 0, d 3.169, 28.16°, I 16.4
- hkl 2 0 -1, d 2.921, 30.61°, I 23.7
- hkl 1 3 1, d 2.908, 30.74°, I 24.6
- hkl 2 0 -2, d 2.421, 37.14°, I 30.6
- hkl 1 3 2, d 2.403, 37.42°, I 66.4
- hkl 1 5 1, d 1.995, 45.46°, I 22.4
- hkl 0 6 0, d 1.830, 49.83°, I 40.8

Structural model:
Lattice parameters (Å, degrees): 6.346 10.965 7.416 90.00 90.47 90.00
Space group C2 (No. 5)
Asymmetric unit:
Rb1 0.000 0.000 0.000 (multiplicity 2)
Ga1 0.000 0.333 0.500 (multiplicity 2)
Co1 0.000 0.669 0.500 (multiplicity 2)
Cl1 0.120 0.498 0.688 (multiplicity 4)
Cl2 0.183 0.188 0.685 (multiplicity 4)
Cl3 0.190 0.814 0.685 (multiplicity 4)



[7]
Si4Hg5: simulated powder XRD pattern (Cu Kα), based on DFT lattice parameters and positions (GGA-PBE).

Top 10 peaks for 2θ from 10° to 90°, in order of rising 2θ:
- hkl 1 1 0, d 8.101, 10.92°, I 58.1
- hkl 2 2 0, d 4.050, 21.94°, I 25.0
- hkl 2 1 1, d 2.783, 32.16°, I 29.7
- hkl 3 3 0, d 2.700, 33.18°, I 58.9
- hkl 4 2 0, d 2.562, 35.03°, I 10.7
- hkl 3 0 1, d 2.503, 35.87°, I 100.0
- hkl 6 0 0, d 1.909, 47.63°, I 20.7
- hkl 5 2 1, d 1.790, 51.01°, I 13.5
- hkl 6 3 1, d 1.518, 61.03°, I 38.1
- hkl 3 3 2, d 1.413, 66.15°, I 16.5

Structural model:
Lattice parameters (Å, degrees): 11.456 11.456 3.315 90.00 90.00 90.00
Space group I4/mmm (No. 139)
Asymmetric unit:
Si1 0.000 0.383 0.000 (multiplicity 8)
Hg1 0.000 0.000 0.000 (multiplicity 2)
Hg2 0.167 0.167 0.500 (multiplicity 8)



[8]
Er2Tm15Sc2: simulated powder XRD pattern (Cu Kα), based on DFT lattice parameters and positions (GGA-PBE).

Top 10 peaks for 2θ from 10° to 90°, in order of rising 2θ:
- hkl 1 1 0, d 5.456, 16.25°, I 30.7
- hkl 0 2 4, d 3.188, 27.99°, I 18.0
- hkl 3 0 0, d 3.150, 28.33°, I 16.1
- hkl 0 0 6, d 2.879, 31.06°, I 33.6
- hkl 2 0 5, d 2.789, 32.09°, I 42.0
- hkl 0 3 3, d 2.764, 32.40°, I 100.0
- hkl 2 2 0, d 2.728, 32.83°, I 41.4
- hkl 2 2 3, d 2.465, 36.44°, I 61.2
- hkl 3 3 3, d 1.734, 52.79°, I 18.0
- hkl 6 0 0, d 1.575, 58.61°, I 20.1

Structural model:
Lattice parameters (Å, degrees): 10.9123 10.9123 17.2745 90.00 90.00 120.00
Space group R-3m (No. 166, hexagonal axes)
Asymmetric unit:
Er1 0.0000 0.0000 0.1794 (multiplicity 6)
Tm1 0.0000 0.2968 0.5000 (multiplicity 18)
Tm2 0.0000 0.5000 0.0000 (multiplicity 9)
Tm3 0.0063 0.5032 0.6375 (multiplicity 18)
Sc1 0.0000 0.0000 0.4085 (multiplicity 6)



[9]
NaYCuF6: simulated powder XRD pattern (Cu Kα), based on DFT lattice parameters and positions (GGA-PBE).

Top 10 peaks for 2θ from 10° to 90°, in order of rising 2θ:
- hkl 1 0 0, d 4.886, 18.16°, I 44.5
- hkl 0 0 2, d 4.795, 18.50°, I 78.4
- hkl 1 0 2, d 3.422, 26.04°, I 100.0
- hkl 1 1 0, d 2.821, 31.72°, I 42.1
- hkl 1 1 2, d 2.431, 36.97°, I 91.1
- hkl 2 0 2, d 2.177, 41.49°, I 26.1
- hkl 1 1 4, d 1.827, 49.92°, I 79.7
- hkl 2 1 2, d 1.723, 53.15°, I 26.0
- hkl 3 0 0, d 1.629, 56.51°, I 37.7
- hkl 3 0 2, d 1.542, 59.99°, I 17.5

Structural model:
Lattice parameters (Å, degrees): 5.6415 5.6415 9.5903 90.00 90.00 120.00
Space group P-31c (No. 163)
Asymmetric unit:
Na1 0.0000 0.0000 0.0000 (multiplicity 2)
Y1 0.3333 0.6667 0.2500 (multiplicity 2)
Cu1 0.3333 0.6667 0.7500 (multiplicity 2)
F1 0.0195 0.3632 0.6351 (multiplicity 12)



[10]
La2TbNd7Tl2: simulated powder XRD pattern (Cu Kα), based on DFT lattice parameters and positions (GGA-PBE).

Top 10 peaks for 2θ from 10° to 90°, in order of rising 2θ:
- hkl 0 2 1, d 3.386, 26.32°, I 32.8
- hkl 2 0 -3, d 3.028, 29.50°, I 80.2
- hkl 0 2 3, d 2.948, 30.32°, I 100.0
- hkl 2 0 3, d 2.896, 30.88°, I 93.2
- hkl 0 0 6, d 2.830, 31.61°, I 63.8
- hkl 0 2 4, d 2.679, 33.45°, I 41.2
- hkl 2 2 0, d 2.449, 36.70°, I 51.5
- hkl 2 2 -1, d 2.436, 36.90°, I 53.3
- hkl 2 2 -7, d 1.754, 52.13°, I 32.1
- hkl 4 2 -4, d 1.479, 62.85°, I 35.1

Structural model:
Lattice parameters (Å, degrees): 6.953 6.907 17.002 90.00 92.86 90.00
Space group C2/m (No. 12)
Asymmetric unit:
La1 0.061 0.000 0.332 (multiplicity 4)
Tb1 0.000 0.500 0.000 (multiplicity 2)
Nd1 0.000 0.000 0.000 (multiplicity 2)
Nd2 0.231 0.252 0.839 (multiplicity 8)
Nd3 0.232 0.500 0.476 (multiplicity 4)
Tl1 0.042 0.500 0.301 (multiplicity 4)